Record 1
The following is a simulated powder diffractogram of Mn2Ga5. It was derived from a DFT-relaxed cell (GGA-PBE, the Materials Project), using copper Kα.
Intensities are scaled so that the largest is 100.

The 10 most intense peaks (2θ from 15° to 90°), by angle:
d/Å, I/Imax
2.798, 31.1
2.702, 37.6
2.454, 27.6
2.231, 61.1
2.146, 100.0
2.085, 34.4
1.944, 72.9
1.816, 37.6
1.242, 20.9
1.143, 23.7

Crystal structure
a = 8.847 Å, b = 8.847 Å, c = 2.702 Å
α = 90.00°, β = 90.00°, γ = 90.00°
Fractional coordinates of all 14 atoms:
Mn: 0.179 0.321 0.000
Mn: 0.321 0.821 0.000
Mn: 0.679 0.179 0.000
Mn: 0.821 0.679 0.000
Ga: 0.000 0.500 0.500
Ga: 0.065 0.793 0.500
Ga: 0.207 0.065 0.500
Ga: 0.293 0.565 0.500
Ga: 0.435 0.293 0.500
Ga: 0.500 0.000 0.500
Ga: 0.565 0.707 0.500
Ga: 0.707 0.435 0.500
Ga: 0.793 0.935 0.500
Ga: 0.935 0.207 0.500

Record 2
The following is a simulated powder diffractogram of Mn3Ga. It was derived from a DFT-relaxed cell (GGA-PBE, the Materials Project), using copper Kα.
Intensities are scaled so that the largest is 100.

The 10 most intense peaks (2θ from 15° to 90°), by angle:
d/Å, I/Imax
3.050, 3.6
2.226, 24.8
2.093, 27.7
1.966, 100.0
1.683, 1.3
1.525, 13.8
1.285, 14.4
1.182, 16.7
1.113, 2.2
1.095, 17.1

Crystal structure
a = 5.142 Å, b = 5.142 Å, c = 4.186 Å
α = 90.00°, β = 90.00°, γ = 120.00°
Fractional coordinates of all 8 atoms:
Mn: 0.158 0.316 0.250
Mn: 0.158 0.842 0.250
Mn: 0.316 0.158 0.750
Mn: 0.684 0.842 0.250
Mn: 0.842 0.158 0.750
Mn: 0.842 0.684 0.750
Ga: 0.333 0.667 0.750
Ga: 0.667 0.333 0.250

Record 3
The following is a simulated powder diffractogram of Mn3Ga. It was derived from a DFT-relaxed cell (GGA-PBE, the Materials Project), using copper Kα.
Intensities are scaled so that the largest is 100.

The 10 most intense peaks (2θ from 15° to 90°), by angle:
d/Å, I/Imax
2.746, 1.8
2.121, 100.0
2.060, 29.6
2.054, 1.4
1.823, 60.1
1.454, 1.2
1.304, 18.4
1.275, 16.1
1.111, 10.8
1.102, 20.8

Crystal structure
a = 8.376 Å, b = 8.376 Å, c = 8.376 Å
α = 17.91°, β = 17.91°, γ = 17.91°
Fractional coordinates of all 4 atoms:
Mn: 0.000 0.000 0.000
Mn: 0.253 0.253 0.253
Mn: 0.747 0.747 0.747
Ga: 0.500 0.500 0.500

Record 4
The following is a simulated powder diffractogram of Mn3Ga. It was derived from a DFT-relaxed cell (GGA-PBE, the Materials Project), using copper Kα.
Intensities are scaled so that the largest is 100.

The 6 most intense peaks (2θ from 15° to 90°), by angle:
d/Å, I/Imax
3.326, 1.3
2.880, 0.7
2.036, 100.0
1.737, 0.8
1.440, 15.0
1.176, 29.3

Crystal structure
a = 4.073 Å, b = 4.073 Å, c = 4.073 Å
α = 60.00°, β = 60.00°, γ = 60.00°
Fractional coordinates of all 4 atoms:
Mn: 0.000 0.000 0.000
Mn: 0.250 0.250 0.250
Mn: 0.750 0.750 0.750
Ga: 0.500 0.500 0.500

Record 5
The following is a simulated powder diffractogram of MnGa4. It was derived from a DFT-relaxed cell (GGA-PBE, the Materials Project), using copper Kα.
Intensities are scaled so that the largest is 100.

The 10 most intense peaks (2θ from 15° to 90°), by angle:
d/Å, I/Imax
3.972, 18.3
2.808, 63.9
2.293, 7.9
1.986, 100.0
1.776, 3.4
1.621, 16.2
1.501, 3.7
1.404, 15.4
1.256, 20.3
1.147, 31.1

Crystal structure
a = 4.864 Å, b = 4.864 Å, c = 4.864 Å
α = 109.47°, β = 109.47°, γ = 109.47°
Fractional coordinates of all 5 atoms:
Mn: 0.000 0.000 0.000
Ga: 0.000 0.000 0.500
Ga: 0.000 0.500 0.000
Ga: 0.500 0.000 0.000
Ga: 0.500 0.500 0.500

Record 6
The following is a simulated powder diffractogram of Mn3Ga. It was derived from a DFT-relaxed cell (GGA-PBE, the Materials Project), using copper Kα.
Intensities are scaled so that the largest is 100.

The 9 most intense peaks (2θ from 15° to 90°), by angle:
d/Å, I/Imax
3.307, 1.7
2.667, 0.5
2.108, 100.0
1.886, 34.7
1.720, 12.7
1.638, 0.6
1.333, 10.1
1.271, 17.1
1.127, 23.0

Crystal structure
a = 4.353 Å, b = 4.353 Å, c = 4.353 Å
α = 128.66°, β = 128.66°, γ = 75.56°
Fractional coordinates of all 4 atoms:
Mn: 0.000 0.000 0.000
Mn: 0.250 0.750 0.500
Mn: 0.750 0.250 0.500
Ga: 0.500 0.500 0.000

Record 7
The following is a simulated powder diffractogram of Mn3GaN. It was derived from a DFT-relaxed cell (GGA-PBE, the Materials Project), using copper Kα.
Intensities are scaled so that the largest is 100.

The 8 most intense peaks (2θ from 15° to 90°), by angle:
d/Å, I/Imax
2.674, 5.0
2.183, 100.0
1.891, 57.7
1.544, 1.7
1.337, 33.2
1.196, 0.7
1.140, 32.7
1.092, 11.3

Crystal structure
a = 3.781 Å, b = 3.781 Å, c = 3.781 Å
α = 90.00°, β = 90.00°, γ = 90.00°
Fractional coordinates of all 5 atoms:
Mn: 0.000 0.000 0.500
Mn: 0.000 0.500 0.000
Mn: 0.500 0.000 0.000
Ga: 0.500 0.500 0.500
N: 0.000 0.000 0.000

Record 8
The following is a simulated powder diffractogram of MnGa2Ni9. It was derived from a DFT-relaxed cell (GGA-PBE, the Materials Project), using copper Kα.
Intensities are scaled so that the largest is 100.

The 4 most intense peaks (2θ from 15° to 90°), by angle:
d/Å, I/Imax
2.062, 100.0
1.787, 31.3
1.783, 15.3
1.262, 26.9

Crystal structure
a = 3.573 Å, b = 3.573 Å, c = 10.697 Å
α = 90.00°, β = 90.00°, γ = 90.00°
Fractional coordinates of all 12 atoms:
Mn: 0.000 0.000 0.000
Ga: 0.000 0.000 0.333
Ga: 0.000 0.000 0.667
Ni: 0.000 0.500 0.162
Ni: 0.000 0.500 0.500
Ni: 0.000 0.500 0.838
Ni: 0.500 0.000 0.162
Ni: 0.500 0.000 0.500
Ni: 0.500 0.000 0.838
Ni: 0.500 0.500 0.000
Ni: 0.500 0.500 0.331
Ni: 0.500 0.500 0.669

Record 9
The following is a simulated powder diffractogram of MnGaNi. It was derived from a DFT-relaxed cell (GGA-PBE, the Materials Project), using copper Kα.
Intensities are scaled so that the largest is 100.

The 10 most intense peaks (2θ from 15° to 90°), by angle:
d/Å, I/Imax
3.576, 1.9
2.583, 11.8
2.094, 86.4
2.064, 100.0
1.613, 16.6
1.470, 25.6
1.292, 6.5
1.197, 24.7
1.192, 14.9
1.095, 23.1

Crystal structure
a = 4.129 Å, b = 4.129 Å, c = 5.166 Å
α = 90.00°, β = 90.00°, γ = 120.00°
Fractional coordinates of all 6 atoms:
Mn: 0.000 0.000 0.000
Mn: 0.000 0.000 0.500
Ga: 0.333 0.667 0.250
Ga: 0.667 0.333 0.750
Ni: 0.333 0.667 0.750
Ni: 0.667 0.333 0.250

Record 10
The following is a simulated powder diffractogram of MnGaNi2. It was derived from a DFT-relaxed cell (GGA-PBE, the Materials Project), using copper Kα.
Intensities are scaled so that the largest is 100.

The 8 most intense peaks (2θ from 15° to 90°), by angle:
d/Å, I/Imax
3.317, 1.5
2.095, 100.0
1.919, 37.6
1.661, 0.5
1.649, 11.2
1.357, 11.1
1.250, 16.6
1.139, 24.5

Crystal structure
a = 4.270 Å, b = 4.270 Å, c = 4.270 Å
α = 126.61°, β = 126.61°, γ = 78.89°
Fractional coordinates of all 4 atoms:
Mn: 0.000 0.000 0.000
Ga: 0.500 0.500 0.000
Ni: 0.250 0.750 0.500
Ni: 0.750 0.250 0.500

Record 11
The following is a simulated powder diffractogram of MnGaNi2. It was derived from a DFT-relaxed cell (GGA-PBE, the Materials Project), using copper Kα.
Intensities are scaled so that the largest is 100.

The 8 most intense peaks (2θ from 15° to 90°), by angle:
d/Å, I/Imax
3.751, 1.0
2.553, 0.8
2.111, 100.0
1.876, 34.1
1.742, 13.3
1.326, 10.0
1.277, 17.5
1.123, 23.0

Crystal structure
a = 3.751 Å, b = 3.751 Å, c = 3.485 Å
α = 90.00°, β = 90.00°, γ = 90.00°
Fractional coordinates of all 4 atoms:
Mn: 0.000 0.000 0.000
Ga: 0.500 0.500 0.000
Ni: 0.000 0.500 0.500
Ni: 0.500 0.000 0.500

Record 12
The following is a simulated powder diffractogram of MnGaNi2. It was derived from a DFT-relaxed cell (GGA-PBE, the Materials Project), using copper Kα.
Intensities are scaled so that the largest is 100.

The 10 most intense peaks (2θ from 15° to 90°), by angle:
d/Å, I/Imax
2.191, 5.7
2.107, 22.0
2.096, 31.0
2.060, 8.3
2.013, 100.0
1.486, 13.4
1.369, 7.1
1.198, 7.5
1.194, 16.1
1.146, 7.7

Crystal structure
a = 4.215 Å, b = 29.343 Å, c = 5.474 Å
α = 90.00°, β = 90.00°, γ = 90.00°
Fractional coordinates of all 56 atoms:
Mn: 0.000 0.000 0.000
Mn: 0.033 0.143 0.000
Mn: 0.052 0.429 0.000
Mn: 0.053 0.714 0.000
Mn: 0.447 0.214 0.500
Mn: 0.448 0.929 0.500
Mn: 0.467 0.643 0.500
Mn: 0.500 0.500 0.500
Mn: 0.533 0.357 0.500
Mn: 0.552 0.071 0.500
Mn: 0.553 0.786 0.500
Mn: 0.947 0.286 0.000
Mn: 0.948 0.571 0.000
Mn: 0.967 0.857 0.000
Ga: 0.000 0.000 0.500
Ga: 0.038 0.143 0.500
Ga: 0.051 0.428 0.500
Ga: 0.056 0.715 0.500
Ga: 0.444 0.215 0.000
Ga: 0.449 0.928 0.000
Ga: 0.462 0.643 0.000
Ga: 0.500 0.500 0.000
Ga: 0.538 0.357 0.000
Ga: 0.551 0.072 0.000
Ga: 0.556 0.785 0.000
Ga: 0.944 0.285 0.500
Ga: 0.949 0.572 0.500
Ga: 0.962 0.857 0.500
Ni: 0.000 0.500 0.250
Ni: 0.000 0.500 0.750
Ni: 0.038 0.357 0.251
Ni: 0.038 0.357 0.749
Ni: 0.057 0.071 0.250
Ni: 0.057 0.071 0.750
Ni: 0.059 0.786 0.250
Ni: 0.059 0.786 0.750
Ni: 0.441 0.286 0.250
Ni: 0.441 0.286 0.750
Ni: 0.443 0.571 0.250
Ni: 0.443 0.571 0.750
Ni: 0.462 0.857 0.249
Ni: 0.462 0.857 0.751
Ni: 0.500 0.000 0.250
Ni: 0.500 0.000 0.750
Ni: 0.538 0.143 0.249
Ni: 0.538 0.143 0.751
Ni: 0.557 0.429 0.250
Ni: 0.557 0.429 0.750
Ni: 0.559 0.714 0.250
Ni: 0.559 0.714 0.750
Ni: 0.941 0.214 0.250
Ni: 0.941 0.214 0.750
Ni: 0.943 0.929 0.250
Ni: 0.943 0.929 0.750
Ni: 0.962 0.643 0.251
Ni: 0.962 0.643 0.749